[1]
For Eu2Er4C, a cell relaxed with PBE gives the calculated XRD peak list in this record (Cu Ka).
Neutral-atom scattering factors, no anomalous dispersion.

Largest 10 diffraction maxima, in order of falling intensity, 2θ from 10° to 90°:
d [Å]	2theta	intensity
2.779	32.21	100
3.260	27.36	69
2.465	36.45	62
2.950	30.29	39
1.891	48.12	37
1.476	62.95	32
1.922	47.30	29
3.069	29.10	24
1.743	52.50	22
1.500	61.86	19

Structural model:
```
data_Eu2Er4C
_cell_length_a 4.9299
_cell_length_b 4.9299
_cell_length_c 18.4135
_cell_angle_alpha 90.00
_cell_angle_beta 90.00
_cell_angle_gamma 90.00
_space_group_name_H-M_alt 'P 1'
_space_group_IT_number 1
loop_
_space_group_symop_operation_xyz
'x,y,z'
loop_
_atom_site_label
_atom_site_fract_x
_atom_site_fract_y
_atom_site_fract_z
_atom_site_occupancy
Eu1 0.0000 0.0000 0.1748 1
Eu2 0.0000 0.0000 0.8252 1
Eu3 0.5000 0.5000 0.3252 1
Eu4 0.5000 0.5000 0.6748 1
Er1 0.0000 0.0000 0.3742 1
Er2 0.0000 0.0000 0.6258 1
Er3 0.0000 0.5000 0.0000 1
Er4 0.0000 0.5000 0.5000 1
Er5 0.5000 0.0000 0.0000 1
Er6 0.5000 0.0000 0.5000 1
Er7 0.5000 0.5000 0.1258 1
Er8 0.5000 0.5000 0.8742 1
C1 0.0000 0.0000 0.5000 1
C2 0.5000 0.5000 0.0000 1
```

***

[2]
For Er3FeC3, a cell relaxed with PBE gives the calculated XRD peak list in this record (Cu Ka).
Neutral-atom scattering factors, no anomalous dispersion.

Largest 10 diffraction maxima, in order of falling intensity, 2θ from 10° to 90°:
d [Å]	2theta	intensity
2.718	32.95	100
2.504	35.86	32
2.544	35.28	24
2.663	33.65	22
2.696	33.23	18
1.484	62.61	16
1.785	51.18	16
1.607	57.32	12
1.835	49.69	12
2.097	43.15	11

Structural model:
```
data_Er3FeC3
_cell_length_a 6.5935
_cell_length_b 6.5935
_cell_length_c 5.0086
_cell_angle_alpha 90.00
_cell_angle_beta 90.00
_cell_angle_gamma 101.01
_space_group_name_H-M_alt 'P 1'
_space_group_IT_number 1
loop_
_space_group_symop_operation_xyz
'x,y,z'
loop_
_atom_site_label
_atom_site_fract_x
_atom_site_fract_y
_atom_site_fract_z
_atom_site_occupancy
Er1 0.1079 0.8921 0.7500 1
Er2 0.1659 0.4079 0.7500 1
Er3 0.4079 0.1659 0.2500 1
Er4 0.5921 0.8341 0.7500 1
Er5 0.8341 0.5921 0.2500 1
Er6 0.8921 0.1079 0.2500 1
Fe1 0.3023 0.6977 0.2500 1
Fe2 0.6977 0.3023 0.7500 1
C1 0.1232 0.8768 0.2500 1
C2 0.1718 0.4297 0.2500 1
C3 0.4297 0.1718 0.7500 1
C4 0.5703 0.8282 0.2500 1
C5 0.8282 0.5703 0.7500 1
C6 0.8768 0.1232 0.7500 1
```

***

Repeat the second record exactly.
For Er3FeC3, a cell relaxed with PBE gives the calculated XRD peak list in this record (Cu Ka).
Neutral-atom scattering factors, no anomalous dispersion.

Largest 10 diffraction maxima, in order of falling intensity, 2θ from 10° to 90°:
d [Å]	2theta	intensity
2.718	32.95	100
2.504	35.86	32
2.544	35.28	24
2.663	33.65	22
2.696	33.23	18
1.484	62.61	16
1.785	51.18	16
1.607	57.32	12
1.835	49.69	12
2.097	43.15	11

Structural model:
```
data_Er3FeC3
_cell_length_a 6.5935
_cell_length_b 6.5935
_cell_length_c 5.0086
_cell_angle_alpha 90.00
_cell_angle_beta 90.00
_cell_angle_gamma 101.01
_space_group_name_H-M_alt 'P 1'
_space_group_IT_number 1
loop_
_space_group_symop_operation_xyz
'x,y,z'
loop_
_atom_site_label
_atom_site_fract_x
_atom_site_fract_y
_atom_site_fract_z
_atom_site_occupancy
Er1 0.1079 0.8921 0.7500 1
Er2 0.1659 0.4079 0.7500 1
Er3 0.4079 0.1659 0.2500 1
Er4 0.5921 0.8341 0.7500 1
Er5 0.8341 0.5921 0.2500 1
Er6 0.8921 0.1079 0.2500 1
Fe1 0.3023 0.6977 0.2500 1
Fe2 0.6977 0.3023 0.7500 1
C1 0.1232 0.8768 0.2500 1
C2 0.1718 0.4297 0.2500 1
C3 0.4297 0.1718 0.7500 1
C4 0.5703 0.8282 0.2500 1
C5 0.8282 0.5703 0.7500 1
C6 0.8768 0.1232 0.7500 1
```